Diffraction record for CuAg8. The X-ray diffraction stick pattern is simulated, not measured: it uses a cell relaxed with GGA-PBE and Cu Kα (λ = 1.5418 Å).

Structural model:
a = 7.665 Å, b = 7.665 Å, c = 8.669 Å
α = 124.35°, β = 124.35°, γ = 21.96°
Element x y z (fractional)
Cu (0.000, 0.000, 0.000)
Ag (0.111, 0.111, 0.665)
Ag (0.221, 0.221, 0.332)
Ag (0.337, 0.337, 0.000)
Ag (0.446, 0.446, 0.679)
Ag (0.554, 0.554, 0.321)
Ag (0.663, 0.663, 0.000)
Ag (0.779, 0.779, 0.668)
Ag (0.889, 0.889, 0.335)

Peak list (10 most intense, 2θ from 15° to 90°, by angle)
Position (°2θ), I/Imax
37.87, 100
38.03, 98
43.99, 64
44.33, 31
63.75, 10
64.18, 29
64.27, 19
76.70, 23
77.00, 22
77.30, 16